Simulated powder diffractogram
Compound: Pm3Sm3Ho5
Radiation: Cu Kα, 1.54184 Å
Structure: a crystal structure in Alexandria, relaxed with GGA-PBE

Crystal structure
```
Pm3Sm3Ho5
1.0
9.646 0.000 0.000
-4.823 8.354 0.000
0.000 0.000 5.541
Pm Sm Ho
3 3 5
Direct
0.000 0.368 0.000 Pm
0.368 0.000 0.000 Pm
0.632 0.632 0.000 Pm
0.000 0.566 0.500 Sm
0.434 0.434 0.500 Sm
0.566 0.000 0.500 Sm
0.000 0.732 0.000 Ho
0.268 0.268 0.000 Ho
0.333 0.667 0.000 Ho
0.667 0.333 0.000 Ho
0.732 0.000 0.000 Ho
```

Largest 8 diffraction maxima, in order of falling intensity, 2θ from 15° to 90°:
32.64°, 2.743 Å, intensity 100
36.10°, 2.488 Å, intensity 82
15.99°, 5.541 Å, intensity 77
32.14°, 2.785 Å, intensity 69
26.73°, 3.335 Å, intensity 64
32.31°, 2.771 Å, intensity 63
46.22°, 1.964 Å, intensity 51
42.28°, 2.138 Å, intensity 43